# 1
MnTlMoO6: calculated X-ray powder pattern (Cu Ka), based on a cell relaxed with GGA+U.

Top 10 peaks for 2θ from 5° to 70°, by angle:
2θ 19.73, I 15, hkl 1 0 0; 2θ 26.57, I 100, hkl 1 0 1; 2θ 34.53, I 30, hkl 1 1 0; 2θ 41.09, I 8, hkl 1 0 2; 2θ 44.09, I 24, hkl 2 0 1; 2θ 50.49, I 33, hkl 1 1 2; 2θ 57.18, I 23, hkl 2 1 1; 2θ 58.72, I 10, hkl 1 0 3; 2θ 61.87, I 10, hkl 3 0 0; 2θ 69.94, I 7, hkl 2 0 3

Structure:
Unit cell a=5.1950 b=5.1950 c=5.0345 alpha=90.00 beta=90.00 gamma=120.00
Space group P312 (No. 149)
One atom of each set of equivalent atoms:
Mn1 0.0000 0.0000 0.0000
Tl1 0.6667 0.3333 0.5000
Mo1 0.3333 0.6667 0.0000
O1 0.0442 0.3323 0.7871

=====

# 2
MnTl2MoO6: calculated X-ray powder pattern (Cu Ka), based on a cell relaxed with GGA+U.

Top 10 peaks for 2θ from 5° to 70°, by angle:
2θ 23.90, I 100, hkl 1 0 1; 2θ 28.73, I 92, hkl 1 1 0; 2θ 37.71, I 51, hkl 0 2 1; 2θ 38.73, I 41, hkl 0 1 2; 2θ 48.09, I 28, hkl 2 1 1; 2θ 48.93, I 27, hkl 2 0 2; 2θ 50.91, I 18, hkl 3 0 0; 2θ 57.74, I 31, hkl 1 2 2; 2θ 59.50, I 15, hkl 2 2 0; 2θ 61.68, I 15, hkl 1 1 3

Structure:
Unit cell a=6.2139 b=6.2139 c=5.1553 alpha=90.00 beta=90.00 gamma=120.00
Space group P-3m1 (No. 164)
One atom of each set of equivalent atoms:
Mn1 0.0000 0.0000 0.0000
Tl1 0.3333 0.6667 0.1617
Mo1 0.0000 0.0000 0.5000
O1 0.1371 0.2742 0.7504